[1]
# Dy5Tl2Sb2
Theoretical X-ray diffraction stick pattern, CuKα. Input: a DFT-relaxed cell (PBE, Alexandria).
No peak broadening, texture or thermal motion is included.

Structural model:
a b c (Å): 8.808 8.808 8.123
angles (deg): 90.00 90.00 55.04
Atoms (fractional coordinates):
Dy 0.000 0.000 0.000
Dy 0.031 0.693 0.665
Dy 0.193 0.531 0.165
Dy 0.307 0.969 0.665
Dy 0.469 0.807 0.165
Dy 0.500 0.500 0.500
Dy 0.531 0.193 0.835
Dy 0.693 0.031 0.335
Dy 0.807 0.469 0.835
Dy 0.969 0.307 0.335
Tl 0.133 0.867 0.368
Tl 0.367 0.633 0.868
Tl 0.633 0.367 0.132
Tl 0.867 0.133 0.632
Sb 0.203 0.203 0.000
Sb 0.297 0.297 0.500
Sb 0.703 0.703 0.500
Sb 0.797 0.797 0.000

Main lines, by angle (2θ from 15° to 90°):
d 3.298, I 323
d 2.980, I 938
d 2.875, I 266
d 2.817, I 418
d 2.662, I 724
d 2.604, I 268
d 2.537, I 1000
d 1.985, I 289

---

[2]
# BaNd2ScO5
Theoretical X-ray diffraction stick pattern, CuKα. Input: a DFT-relaxed cell (PBE, Alexandria).
No peak broadening, texture or thermal motion is included.

Structural model:
a b c (Å): 6.923 6.923 6.923
angles (deg): 146.32 128.47 62.98
Atoms (fractional coordinates):
Ba 0.000 0.000 0.000
Nd 0.286 0.786 0.500
Nd 0.714 0.214 0.500
Sc 0.500 0.500 0.000
O 0.126 0.360 0.766
O 0.406 0.640 0.766
O 0.500 0.000 0.500
O 0.594 0.360 0.234
O 0.874 0.640 0.234

Main lines, by angle (2θ from 15° to 90°):
d 3.294, I 264
d 3.009, I 271
d 2.906, I 1000
d 2.359, I 141
d 2.107, I 207
d 2.035, I 154
d 2.006, I 144
d 1.717, I 216

---

[3]
# CsH6O2F2
Theoretical X-ray diffraction stick pattern, CuKα. Input: a DFT-relaxed cell (PBE, Alexandria).
No peak broadening, texture or thermal motion is included.

Structural model:
a b c (Å): 5.243 5.578 6.447
angles (deg): 105.46 90.24 117.56
Atoms (fractional coordinates):
Cs 0.000 0.000 0.000
H 0.220 0.748 0.458
H 0.312 0.625 0.703
H 0.478 0.254 0.543
H 0.522 0.746 0.457
H 0.688 0.375 0.297
H 0.780 0.252 0.542
O 0.315 0.634 0.478
O 0.685 0.366 0.522
F 0.314 0.627 0.861
F 0.686 0.373 0.139

Main lines, by angle (2θ from 15° to 90°):
d 4.595, I 331
d 4.446, I 849
d 3.438, I 1000
d 3.072, I 348
d 2.704, I 407
d 2.687, I 400
d 2.621, I 372
d 2.394, I 358